Theoretical powder diffractogram
Compound: TlSn3
Radiation: Cu Kα X-rays
Structure: a cell relaxed with GGA-PBE
Neutral-atom scattering factors, no anomalous dispersion.

Crystal structure
a = 3.7139 Å, b = 4.1189 Å, c = 7.6369 Å
α = 90.00°, β = 90.00°, γ = 90.00°
Space group Pmmm (No. 47)
Symmetry-distinct sites (fractional):
Tl: 0.0000 0.0000 0.0000 (multiplicity 1)
Sn: 0.0000 0.0000 0.5000 (multiplicity 1)
Sn: 0.5000 0.5000 0.2842 (multiplicity 2)

The 6 most intense peaks (10 to 80 degrees two-theta), in order of rising 2θ:
d (Å), Position (°2θ), Rel. int.
2.800, 32.0, 96
2.758, 32.5, 100
2.662, 33.7, 84
1.629, 56.5, 39
1.570, 58.8, 27
1.548, 59.8, 33

---

Theoretical powder diffractogram
Compound: Tl7Sn5
Radiation: Cu Kα X-rays
Structure: a cell relaxed with GGA-PBE
Neutral-atom scattering factors, no anomalous dispersion.

Crystal structure
a = 14.4089 Å, b = 4.9084 Å, c = 11.2223 Å
α = 90.00°, β = 115.65°, γ = 90.00°
Space group Cm (No. 8)
Symmetry-distinct sites (fractional):
Tl: 0.0000 0.0000 0.0000 (multiplicity 2)
Tl: 0.0027 0.5000 0.4993 (multiplicity 2)
Tl: 0.0855 0.5000 0.2548 (multiplicity 2)
Tl: 0.1633 0.5000 0.9994 (multiplicity 2)
Tl: 0.2459 0.5000 0.7514 (multiplicity 2)
Tl: 0.3265 0.0000 0.9979 (multiplicity 2)
Tl: 0.4123 0.5000 0.2547 (multiplicity 2)
Sn: 0.0633 0.0000 0.7368 (multiplicity 2)
Sn: 0.1822 0.0000 0.5118 (multiplicity 2)
Sn: 0.2522 0.0000 0.2696 (multiplicity 2)
Sn: 0.3299 0.5000 0.5024 (multiplicity 2)
Sn: 0.4175 0.0000 0.7470 (multiplicity 2)

The 6 most intense peaks (10 to 80 degrees two-theta), in order of rising 2θ:
d (Å), Position (°2θ), Rel. int.
2.846, 31.4, 100
2.835, 31.6, 97
2.529, 35.5, 36
2.454, 36.6, 34
2.401, 37.4, 30
1.761, 51.9, 25

---

Theoretical powder diffractogram
Compound: Tl4Sn
Radiation: Cu Kα X-rays
Structure: a cell relaxed with GGA-PBE
Neutral-atom scattering factors, no anomalous dispersion.

Crystal structure
a = 3.4534 Å, b = 3.4534 Å, c = 43.5080 Å
α = 90.00°, β = 90.00°, γ = 120.00°
Space group R-3m (No. 166, hexagonal axes)
Symmetry-distinct sites (fractional):
Tl: 0.0000 0.0000 0.1000 (multiplicity 6)
Tl: 0.0000 0.0000 0.3004 (multiplicity 6)
Sn: 0.0000 0.0000 0.5000 (multiplicity 3)

The 6 most intense peaks (10 to 80 degrees two-theta), in order of rising 2θ:
d (Å), Position (°2θ), Rel. int.
2.901, 30.8, 36
2.828, 31.6, 100
2.465, 36.5, 69
1.759, 52.0, 25
1.727, 53.0, 24
1.484, 62.6, 29

---

Q: What is the formula in the third record?
A: Tl4Sn